No. 1
The following is a calculated X-ray diffraction stick pattern of NaLi5P2Pt. It was derived from a structure optimized by DFT (GGA-PBE), using CuKα.
Neutral-atom scattering factors, no anomalous dispersion.

Main lines, by angle (2θ from 10° to 90°):
| index | d_spacing | intensity |
| --- | --- | --- |
| 1 0 0 | 4.607 | 86 |
| 1 0 1 | 4.110 | 100 |
| 1 1 0 | 3.258 | 45 |
| 1 1 1 | 3.067 | 24 |
| 1 1 2 | 2.648 | 22 |
| 1 0 3 | 2.532 | 32 |
| 2 0 0 | 2.304 | 23 |
| 2 1 0 | 2.060 | 20 |
| 2 1 1 | 2.009 | 30 |
| 1 1 4 | 1.864 | 22 |

Atomic structure:
```
data_NaLi5P2Pt
_chemical_formula_sum 'Na1 Li5 P2 Pt1'
_symmetry_space_group_name_H-M 'P 4/m m m'
_symmetry_Int_Tables_number 123
_symmetry_space_group_name_Hall '-P 4 2'
_cell_length_a 4.6070
_cell_length_b 4.6070
_cell_length_c 9.0938
_cell_angle_alpha 90.00
_cell_angle_beta 90.00
_cell_angle_gamma 90.00
loop_
_atom_site_label
_atom_site_fract_x
_atom_site_fract_y
_atom_site_fract_z
Na1 0.0000 0.0000 0.0000
Li1 0.0000 0.5000 0.3315
Li2 0.5000 0.5000 0.0000
P1 0.5000 0.5000 0.2436
Pt1 0.5000 0.5000 0.5000
```


No. 2
The following is a calculated X-ray diffraction stick pattern of CuNCl3. It was derived from a structure optimized by DFT (GGA-PBE), using CuKα.
Neutral-atom scattering factors, no anomalous dispersion.

Main lines, by angle (2θ from 10° to 90°):
| index | d_spacing | intensity |
| --- | --- | --- |
| 0 2 0 | 8.476 | 100 |
| 0 1 1 | 7.011 | 78 |
| 0 3 1 | 4.556 | 48 |
| 0 4 0 | 4.238 | 30 |
| 1 0 0 | 3.566 | 80 |
| 1 0 -2 | 3.426 | 20 |
| 0 3 2 | 3.182 | 44 |
| 0 5 1 | 3.103 | 18 |
| 1 5 1 | 2.169 | 32 |
| 1 5 -3 | 2.102 | 28 |

Atomic structure:
```
data_CuNCl3
_chemical_formula_sum 'Cu4 N4 Cl12'
_symmetry_space_group_name_H-M 'P 1 21/c 1'
_symmetry_Int_Tables_number 14
_cell_length_a 3.9300
_cell_length_b 16.9520
_cell_length_c 8.4725
_cell_angle_alpha 90.00
_cell_angle_beta 114.64
_cell_angle_gamma 90.00
loop_
_symmetry_equiv_pos_as_xyz
'x,y,z'
'-x,-y,-z'
'-x,y+1/2,-z+1/2'
'x,-y+1/2,z+1/2'
loop_
_atom_site_label
_atom_site_fract_x
_atom_site_fract_y
_atom_site_fract_z
Cu1 0.1057 0.0054 0.3702
N1 0.0973 0.1841 0.1720
Cl1 0.0569 0.2354 0.3332
Cl2 0.1256 0.5922 0.3567
Cl3 0.4083 0.0675 0.6496
```


No. 3
The following is a calculated X-ray diffraction stick pattern of Pr9Y4In11. It was derived from a structure optimized by DFT (GGA-PBE), using CuKα.
Neutral-atom scattering factors, no anomalous dispersion.

Main lines, by angle (2θ from 10° to 90°):
| index | d_spacing | intensity |
| --- | --- | --- |
| 4 6 0 | 2.837 | 99 |
| 2 4 1 | 2.827 | 13 |
| 4 0 1 | 2.795 | 100 |
| 1 5 1 | 2.723 | 17 |
| 0 6 1 | 2.541 | 63 |
| 8 0 0 | 2.267 | 25 |
| 0 0 2 | 1.776 | 15 |
| 8 6 1 | 1.691 | 26 |
| 4 12 1 | 1.524 | 15 |
| 4 6 2 | 1.505 | 28 |

Atomic structure:
```
data_Pr9Y4In11
_chemical_formula_sum 'Pr18 Y8 In22'
_symmetry_space_group_name_H-M 'C m m m'
_symmetry_Int_Tables_number 65
_symmetry_space_group_name_Hall '-C 2 2'
_cell_length_a 18.1349
_cell_length_b 21.8173
_cell_length_c 3.5511
_cell_angle_alpha 90.00
_cell_angle_beta 90.00
_cell_angle_gamma 90.00
loop_
_atom_site_label
_atom_site_fract_x
_atom_site_fract_y
_atom_site_fract_z
Pr1 0.0000 0.0000 0.0000
Pr2 0.1152 0.2424 0.0000
Pr3 0.1231 0.4138 0.0000
Y1 0.1523 0.0858 0.0000
In1 0.0000 0.1344 0.5000
In2 0.0000 0.3341 0.5000
In3 0.0000 0.5000 0.5000
In4 0.2420 0.5000 0.5000
In5 0.2451 0.3228 0.5000
```